The following is a simulated powder diffractogram of Li4Zn4Cd3. It was derived from a structure optimized by DFT (PBE), using Cu Kα (λ = 1.5418 Å).
Kinematic intensities with the Lorentz-polarization factor, no thermal factor.

Atomic structure:
```
data_Li4Zn4Cd3
_chemical_formula_sum 'Li4 Zn4 Cd3'
_cell_length_a 2.886
_cell_length_b 4.313
_cell_length_c 15.391
_cell_angle_alpha 97.72
_cell_angle_beta 95.00
_cell_angle_gamma 90.78
_symmetry_space_group_name_H-M 'P -1'
_symmetry_Int_Tables_number 2
_symmetry_space_group_name_Hall '-P 1'
loop_
_atom_site_label
_atom_site_type_symbol
_atom_site_fract_x
_atom_site_fract_y
_atom_site_fract_z
Li1 Li 0.001 0.453 0.405
Li2 Li 0.447 0.192 0.880
Zn1 Zn 0.021 0.271 0.042
Zn2 Zn 0.445 0.093 0.684
Cd1 Cd 0.079 0.359 0.224
Cd2 Cd 0.500 0.000 0.500
```

Largest 10 diffraction maxima, low angle first, 2θ from 5° to 70°:
d (Å), two_theta, I_rel
3.968, 22.40, 100
3.797, 23.43, 47
2.872, 31.14, 33
2.384, 37.73, 47
2.356, 38.19, 37
2.331, 38.63, 47
2.321, 38.80, 46
2.188, 41.26, 28
2.157, 41.89, 38
1.880, 48.41, 14